Entry 1:
Starting from the PBE geometry in the Materials Project, the X-ray powder pattern of SnI4 was calculated for λ = 1.5418 Å (Cu Kα).
Neutral-atom scattering factors, no anomalous dispersion.

Principal peaks in the range 10 to 90 degrees two-theta, most intense first:
2θ/deg	I (rel.)
23.07	1000
38.11	577
45.02	428
26.69	290
16.25	232
14.83	196
68.87	158
60.42	152

Cell and atoms:
```
data_SnI4
_symmetry_space_group_name_H-M 'P a -3'
_symmetry_Int_Tables_number 205
_symmetry_space_group_name_Hall '-P 2ac 2ab 3'
_cell_length_a 13.358
_cell_length_b 13.358
_cell_length_c 13.358
_cell_angle_alpha 90.00
_cell_angle_beta 90.00
_cell_angle_gamma 90.00
loop_
_atom_site_label
_atom_site_type_symbol
_atom_site_fract_x
_atom_site_fract_y
_atom_site_fract_z
Sn1 Sn 0.130 0.130 0.130
I1 I 0.008 0.248 0.019
I2 I 0.247 0.247 0.247
```

Entry 2:
Starting from the PBE geometry in the Materials Project, the X-ray powder pattern of SnI4 was calculated for λ = 1.5418 Å (Cu Kα).
Neutral-atom scattering factors, no anomalous dispersion.

Principal peaks in the range 10 to 90 degrees two-theta, most intense first:
2θ/deg	I (rel.)
23.04	1000
38.07	564
44.96	458
13.24	300
26.66	277
60.34	176
68.78	173
18.77	147

Cell and atoms:
```
data_SnI4
_symmetry_space_group_name_H-M 'P -4 3 m'
_symmetry_Int_Tables_number 215
_symmetry_space_group_name_Hall 'P -4 2 3'
_cell_length_a 6.686
_cell_length_b 6.686
_cell_length_c 6.686
_cell_angle_alpha 90.00
_cell_angle_beta 90.00
_cell_angle_gamma 90.00
loop_
_atom_site_label
_atom_site_type_symbol
_atom_site_fract_x
_atom_site_fract_y
_atom_site_fract_z
Sn1 Sn 0.000 0.000 0.000
I1 I 0.234 0.234 0.234
```

Entry 3:
Starting from the PBE geometry in the Materials Project, the X-ray powder pattern of Tl4SnI6 was calculated for λ = 1.5418 Å (Cu Kα).
Neutral-atom scattering factors, no anomalous dispersion.

Principal peaks in the range 10 to 90 degrees two-theta, most intense first:
2θ/deg	I (rel.)
27.94	1000
29.51	448
28.08	430
38.64	390
26.47	328
27.63	287
26.92	250
54.90	236

Cell and atoms:
```
data_Tl4SnI6
_symmetry_space_group_name_H-M 'P b a m'
_symmetry_Int_Tables_number 55
_symmetry_space_group_name_Hall '-P 2 2ab'
_cell_length_a 10.084
_cell_length_b 19.480
_cell_length_c 4.659
_cell_angle_alpha 90.00
_cell_angle_beta 90.00
_cell_angle_gamma 90.00
loop_
_atom_site_label
_atom_site_type_symbol
_atom_site_fract_x
_atom_site_fract_y
_atom_site_fract_z
Tl1 Tl 0.106 0.081 0.000
Tl2 Tl 0.208 0.795 0.000
Sn1 Sn 0.000 0.500 0.500
I1 I 0.059 0.611 0.000
I2 I 0.092 0.214 0.500
I3 I 0.200 0.947 0.500
```